Record 1
Starting from a DFT-relaxed cell (PBE, the Materials Project), the powder XRD pattern of Cs2KCeF6 was computed for Cu Kα (λ = 1.5418 Å).
Neutral-atom scattering factors, no anomalous dispersion.

The 8 most intense peaks (10° ≤ 2θ ≤ 90°), by angle:
2θ (°)	I/Imax
16.4	15
26.9	100
38.4	37
47.5	42
55.4	24
62.7	19
75.9	22
88.5	11

Atomic structure:
Cell lengths 6.630, 6.630, 6.630 Å; angles 60.00, 60.00, 60.00 degrees
Fractional coordinates of all 10 atoms:
Cs  0.250  0.250  0.250
Cs  0.750  0.750  0.750
K  0.000  0.000  0.000
Ce  0.500  0.500  0.500
F  0.260  0.260  0.740
F  0.260  0.740  0.260
F  0.260  0.740  0.740
F  0.740  0.260  0.260
F  0.740  0.260  0.740
F  0.740  0.740  0.260

=====

Record 2
Starting from a DFT-relaxed cell (PBE, the Materials Project), the powder XRD pattern of Cs2LiCeF6 was computed for Cu Kα (λ = 1.5418 Å).
Neutral-atom scattering factors, no anomalous dispersion.

The 8 most intense peaks (10° ≤ 2θ ≤ 90°), by angle:
2θ (°)	I/Imax
16.9	28
27.7	100
32.6	18
39.6	39
49.0	42
57.2	25
64.7	19
78.6	22

Atomic structure:
Cell lengths 6.439, 6.439, 6.439 Å; angles 60.00, 60.00, 60.00 degrees
Fractional coordinates of all 10 atoms:
Cs  0.250  0.250  0.250
Cs  0.750  0.750  0.750
Li  0.000  0.000  0.000
Ce  0.500  0.500  0.500
F  0.246  0.246  0.754
F  0.246  0.754  0.246
F  0.246  0.754  0.754
F  0.754  0.246  0.246
F  0.754  0.246  0.754
F  0.754  0.754  0.246